Entry 1:
Starting from a crystal structure in Alexandria, relaxed with GGA-PBE, the powder X-ray diffraction pattern of CsRh was simulated for Cu Kα, 1.54184 Å.

Most intense lines, 10° ≤ 2θ ≤ 90°, by intensity:
hkl, 2theta, I (rel.)
2 0 0, 13.68, 100.0
4 0 0, 27.56, 85.8
3 2 1, 32.19, 60.0
3 0 1, 28.99, 42.4
4 0 2, 50.16, 32.0
4 3 1, 40.43, 28.7
4 4 0, 39.38, 27.6
7 2 1, 55.76, 23.7
2 1 1, 25.43, 21.9
4 2 0, 30.89, 18.1
7 4 1, 61.48, 17.9
4 4 2, 58.18, 17.4

Structural model:
```
data_CsRh
_chemical_formula_sum 'Cs8 Rh8'
_symmetry_space_group_name_H-M 'I 4/m m m'
_symmetry_Int_Tables_number 139
_symmetry_space_group_name_Hall '-I 4 2'
_cell_length_a 12.9448
_cell_length_b 12.9448
_cell_length_c 4.3980
_cell_angle_alpha 90.00
_cell_angle_beta 90.00
_cell_angle_gamma 90.00
loop_
_atom_site_label
_atom_site_fract_x
_atom_site_fract_y
_atom_site_fract_z
Cs1 0.0000 0.2505 0.0000
Rh1 0.2247 0.2247 0.5000
```

Entry 2:
Starting from a crystal structure in Alexandria, relaxed with GGA-PBE, the powder X-ray diffraction pattern of CsRh was simulated for Cu Kα, 1.54184 Å.

Most intense lines, 10° ≤ 2θ ≤ 90°, by intensity:
hkl, 2theta, I (rel.)
1 3 1, 30.12, 100.0
1 0 2, 29.27, 95.5
0 3 1, 28.03, 72.6
3 2 2, 46.33, 38.1
3 1 1, 36.59, 38.0
2 0 0, 21.71, 29.1
2 2 0, 27.23, 27.3
1 6 2, 59.13, 25.3
3 4 2, 55.20, 24.5
2 1 1, 26.92, 22.4
0 3 3, 48.48, 21.4
4 2 0, 47.44, 17.1

Structural model:
```
data_CsRh
_chemical_formula_sum 'Cs8 Rh8'
_symmetry_space_group_name_H-M 'P n m a'
_symmetry_Int_Tables_number 62
_symmetry_space_group_name_Hall '-P 2ac 2n'
_cell_length_a 8.1868
_cell_length_b 10.9144
_cell_length_c 6.5769
_cell_angle_alpha 90.00
_cell_angle_beta 90.00
_cell_angle_gamma 90.00
loop_
_atom_site_label
_atom_site_fract_x
_atom_site_fract_y
_atom_site_fract_z
Cs1 0.2475 0.0812 0.1113
Rh1 0.1016 0.2500 0.6266
Rh2 0.1088 0.7500 0.1254
```

Entry 3:
Starting from a crystal structure in Alexandria, relaxed with GGA-PBE, the powder X-ray diffraction pattern of CsThRhS3 was simulated for Cu Kα, 1.54184 Å.

Most intense lines, 10° ≤ 2θ ≤ 90°, by intensity:
hkl, 2theta, I (rel.)
1 0 -1, 11.16, 100.0
2 0 -2, 22.43, 48.3
2 1 -1, 28.84, 47.2
2 1 0, 29.65, 44.6
0 1 1, 23.69, 29.0
4 1 -2, 44.44, 25.5
1 1 -3, 35.11, 23.2
2 2 -2, 49.90, 19.7
2 0 0, 20.11, 19.1
0 0 3, 29.38, 19.0
0 2 0, 43.93, 18.5
0 1 2, 29.20, 17.6

Structural model:
```
data_CsThRhS3
_chemical_formula_sum 'Cs2 Th2 Rh2 S6'
_symmetry_space_group_name_H-M 'P 1 21/m 1'
_symmetry_Int_Tables_number 11
_symmetry_space_group_name_Hall '-P 2yb'
_cell_length_a 9.4628
_cell_length_b 4.1219
_cell_length_c 9.7747
_cell_angle_alpha 90.00
_cell_angle_beta 111.07
_cell_angle_gamma 90.00
loop_
_atom_site_label
_atom_site_fract_x
_atom_site_fract_y
_atom_site_fract_z
Cs1 0.2062 0.2500 0.2444
Th1 0.3149 0.7500 0.8354
Rh1 0.0861 0.2500 0.5852
S1 0.1291 0.2500 0.8526
S2 0.1831 0.7500 0.5311
S3 0.4707 0.7500 0.1477
```

Entry 4:
Starting from a crystal structure in Alexandria, relaxed with GGA-PBE, the powder X-ray diffraction pattern of CsRh6Se8 was simulated for Cu Kα, 1.54184 Å.

Most intense lines, 10° ≤ 2θ ≤ 90°, by intensity:
hkl, 2theta, I (rel.)
1 0 1, 12.74, 100.0
2 2 3, 43.29, 88.9
2 1 1, 29.00, 71.8
3 -1 4, 40.80, 70.1
1 3 1, 39.30, 55.6
1 2 2, 31.67, 52.0
0 2 1, 22.33, 50.7
3 0 0, 31.91, 46.8
0 0 3, 21.66, 41.9
0 2 4, 36.17, 38.5
5 -2 4, 56.26, 38.1
2 -1 3, 28.48, 34.6

Structural model:
```
data_CsRh6Se8
_chemical_formula_sum 'Cs3 Rh18 Se24'
_symmetry_space_group_name_H-M 'R -3'
_symmetry_Int_Tables_number 148
_symmetry_space_group_name_Hall '-R 3'
_cell_length_a 9.7147
_cell_length_b 9.7147
_cell_length_c 12.3096
_cell_angle_alpha 90.00
_cell_angle_beta 90.00
_cell_angle_gamma 120.00
loop_
_atom_site_label
_atom_site_fract_x
_atom_site_fract_y
_atom_site_fract_z
Cs1 0.0000 0.0000 0.0000
Rh1 0.0171 0.8190 0.3883
Se1 0.0000 0.0000 0.2608
Se2 0.0276 0.7233 0.5805
```

Entry 5:
Starting from a crystal structure in Alexandria, relaxed with GGA-PBE, the powder X-ray diffraction pattern of Cs3SbRu was simulated for Cu Kα, 1.54184 Å.

Most intense lines, 10° ≤ 2θ ≤ 90°, by intensity:
hkl, 2theta, I (rel.)
2 0 0, 30.37, 100.0
1 1 1, 26.23, 85.5
2 2 0, 43.49, 73.4
3 1 1, 51.50, 39.2
4 2 0, 71.72, 33.1
2 2 2, 53.97, 25.8
4 2 2, 79.84, 24.8
1 0 0, 15.05, 18.5
3 3 1, 69.63, 16.1
5 1 1, 85.78, 12.6
4 0 0, 63.19, 12.0
1 1 0, 21.35, 11.7

Structural model:
```
data_Cs3SbRu
_chemical_formula_sum 'Cs3 Sb1 Ru1'
_symmetry_space_group_name_H-M 'P m -3 m'
_symmetry_Int_Tables_number 221
_symmetry_space_group_name_Hall '-P 4 2 3'
_cell_length_a 5.8856
_cell_length_b 5.8856
_cell_length_c 5.8856
_cell_angle_alpha 90.00
_cell_angle_beta 90.00
_cell_angle_gamma 90.00
loop_
_atom_site_label
_atom_site_fract_x
_atom_site_fract_y
_atom_site_fract_z
Cs1 0.0000 0.0000 0.5000
Sb1 0.5000 0.5000 0.5000
Ru1 0.0000 0.0000 0.0000
```

Entry 6:
Starting from a crystal structure in Alexandria, relaxed with GGA-PBE, the powder X-ray diffraction pattern of CsS was simulated for Cu Kα, 1.54184 Å.

Most intense lines, 10° ≤ 2θ ≤ 90°, by intensity:
hkl, 2theta, I (rel.)
1 1 2, 28.68, 100.0
1 1 0, 20.72, 60.3
0 2 2, 31.25, 35.1
0 2 0, 24.10, 26.7
0 0 2, 19.60, 26.1
1 3 2, 45.32, 23.5
1 3 0, 40.45, 22.8
2 2 2, 46.90, 20.7
2 0 0, 34.07, 19.4
0 1 1, 15.48, 15.6
3 1 2, 57.72, 13.2
1 3 4, 58.06, 12.4

Structural model:
```
data_CsS
_chemical_formula_sum 'Cs4 S4'
_symmetry_space_group_name_H-M 'I m m m'
_symmetry_Int_Tables_number 71
_symmetry_space_group_name_Hall '-I 2 2'
_cell_length_a 5.2628
_cell_length_b 7.3863
_cell_length_c 9.0558
_cell_angle_alpha 90.00
_cell_angle_beta 90.00
_cell_angle_gamma 90.00
loop_
_atom_site_label
_atom_site_fract_x
_atom_site_fract_y
_atom_site_fract_z
Cs1 0.0000 0.0000 0.2298
S1 0.0000 0.3563 0.5000
```

Entry 7:
Starting from a crystal structure in Alexandria, relaxed with GGA-PBE, the powder X-ray diffraction pattern of CsS2 was simulated for Cu Kα, 1.54184 Å.

Most intense lines, 10° ≤ 2θ ≤ 90°, by intensity:
hkl, 2theta, I (rel.)
1 1 0, 17.54, 100.0
1 -1 1, 26.52, 81.8
2 0 1, 32.66, 70.8
2 1 2, 32.79, 64.3
1 -1 0, 27.09, 59.8
1 1 2, 27.21, 59.0
1 -1 2, 32.98, 55.9
0 0 2, 28.42, 49.5
0 2 0, 28.56, 48.8
0 1 0, 14.13, 47.2
0 1 1, 20.57, 46.1
0 1 -1, 19.50, 44.4

Structural model:
```
data_CsS2
_chemical_formula_sum 'Cs2 S4'
_symmetry_space_group_name_H-M 'P 1'
_symmetry_Int_Tables_number 1
_symmetry_space_group_name_Hall 'P 1'
_cell_length_a 6.0840
_cell_length_b 6.9447
_cell_length_c 6.9750
_cell_angle_alpha 81.70
_cell_angle_beta 64.40
_cell_angle_gamma 64.32
loop_
_atom_site_label
_atom_site_fract_x
_atom_site_fract_y
_atom_site_fract_z
Cs1 0.0000 0.0000 0.0000
Cs2 0.2614 0.4693 0.5298
S1 0.3359 0.3629 0.0185
S2 0.6073 0.4697 0.8133
S3 0.7154 0.9794 0.6366
S4 0.8876 0.1864 0.5310
```

Entry 8:
Starting from a crystal structure in Alexandria, relaxed with GGA-PBE, the powder X-ray diffraction pattern of Cs2S5 was simulated for Cu Kα, 1.54184 Å.

Most intense lines, 10° ≤ 2θ ≤ 90°, by intensity:
hkl, 2theta, I (rel.)
0 2 0, 24.67, 100.0
3 1 1, 24.36, 87.3
0 0 2, 24.49, 86.1
0 2 2, 35.06, 81.5
3 1 -1, 20.42, 68.9
4 0 0, 19.00, 67.3
4 2 0, 31.33, 44.0
4 0 -2, 27.07, 37.3
4 2 -2, 36.95, 33.1
6 0 -2, 32.88, 28.1
6 0 0, 28.67, 27.8
2 0 -2, 23.95, 25.2

Structural model:
```
data_Cs2S5
_chemical_formula_sum 'Cs8 S20'
_symmetry_space_group_name_H-M 'C 1 2/c 1'
_symmetry_Int_Tables_number 15
_symmetry_space_group_name_Hall '-C 2yc'
_cell_length_a 19.2893
_cell_length_b 7.2169
_cell_length_c 7.5081
_cell_angle_alpha 90.00
_cell_angle_beta 104.44
_cell_angle_gamma 90.00
loop_
_atom_site_label
_atom_site_fract_x
_atom_site_fract_y
_atom_site_fract_z
Cs1 0.1460 0.2238 0.2274
S1 0.0000 0.1340 0.7500
S2 0.0626 0.2915 0.6138
S3 0.1671 0.2850 0.7639
```